Starting from a cell relaxed with GGA-PBE, the powder X-ray diffraction pattern of Nd2Sm2C2I2Br3 was calculated for a wavelength of 1.5418 Å.
Kinematic intensities with the Lorentz-polarization factor, no thermal factor.

Main lines, by angle (2θ from 10° to 90°):
Position (°2θ)  d/Å  Rel. int.
10.90  8.117  40.4
27.26  3.272  17.6
27.52  3.241  69.0
29.85  2.993  17.4
31.09  2.877  100.0
32.23  2.777  29.1
41.51  2.175  32.8
42.47  2.129  42.3
43.31  2.089  12.4
45.74  1.984  19.7
54.21  1.692  20.5
75.38  1.261  12.3

Cell and atoms:
```
Nd2Sm2C2I2Br3
1.0
10.015 -1.984 0.000
10.015 1.984 0.000
-2.003 0.000 8.117
Nd Sm C I Br
2 2 2 2 3
direct
0.001 0.001 0.202 Nd
0.999 0.999 0.798 Nd
0.349 0.349 0.903 Sm
0.651 0.651 0.097 Sm
0.464 0.464 0.978 C
0.536 0.536 0.022 C
0.168 0.168 0.816 I
0.832 0.832 0.184 I
0.158 0.158 0.358 Br
0.500 0.500 0.500 Br
0.842 0.842 0.642 Br
```

Starting from a cell relaxed with GGA-PBE, the powder X-ray diffraction pattern of NaAl2AgTe4 was calculated for a wavelength of 1.5418 Å.
Kinematic intensities with the Lorentz-polarization factor, no thermal factor.

Main lines, by angle (2θ from 10° to 90°):
Position (°2θ)  d/Å  Rel. int.
15.26  5.807  6.2
24.11  3.692  100.0
26.82  3.324  10.9
31.00  2.885  10.8
38.30  2.350  22.1
40.64  2.220  39.9
45.77  1.983  29.2
49.80  1.831  13.3
55.28  1.662  6.4
64.51  1.444  9.9
70.83  1.330  10.8
75.51  1.259  5.5

Cell and atoms:
```
NaAl2AgTe4
1.0
6.647 0.000 0.000
0.000 6.647 0.000
0.000 0.000 11.929
Na Al Ag Te
2 4 2 8
direct
0.000 0.000 0.000 Na
0.500 0.500 0.500 Na
0.000 0.000 0.500 Al
0.000 0.500 0.750 Al
0.500 0.000 0.250 Al
0.500 0.500 0.000 Al
0.000 0.500 0.250 Ag
0.500 0.000 0.750 Ag
0.215 0.240 0.630 Te
0.240 0.785 0.370 Te
0.260 0.715 0.870 Te
0.285 0.260 0.130 Te
0.715 0.740 0.130 Te
0.740 0.285 0.870 Te
0.760 0.215 0.370 Te
0.785 0.760 0.630 Te
```

Starting from a cell relaxed with GGA-PBE, the powder X-ray diffraction pattern of KNdC2O6 was calculated for a wavelength of 1.5418 Å.
Kinematic intensities with the Lorentz-polarization factor, no thermal factor.

Main lines, by angle (2θ from 10° to 90°):
Position (°2θ)  d/Å  Rel. int.
13.73  6.450  81.2
18.28  4.853  42.2
21.05  4.221  30.8
22.93  3.878  48.4
25.22  3.532  44.9
27.66  3.225  45.1
28.01  3.185  100.0
31.32  2.856  24.3
37.05  2.427  21.9
39.77  2.266  58.3
45.34  2.000  45.1
49.14  1.854  24.3

Cell and atoms:
```
KNdC2O6
1.0
9.706 0.000 0.000
0.000 6.450 0.000
0.000 0.000 8.443
K Nd C O
4 4 8 24
direct
0.242 0.037 0.000 K
0.258 0.963 0.500 K
0.742 0.963 0.500 K
0.758 0.037 0.000 K
0.000 0.463 0.763 Nd
0.000 0.532 0.261 Nd
0.500 0.468 0.761 Nd
0.500 0.537 0.263 Nd
0.000 0.906 0.765 C
0.000 0.974 0.253 C
0.249 0.538 0.070 C
0.251 0.462 0.570 C
0.500 0.026 0.753 C
0.500 0.094 0.265 C
0.749 0.462 0.570 C
0.751 0.538 0.070 C
0.000 0.105 0.780 O
0.000 0.173 0.251 O
0.000 0.869 0.122 O
0.000 0.875 0.387 O
0.116 0.804 0.759 O
0.133 0.469 0.502 O
0.139 0.456 0.012 O
0.244 0.625 0.209 O
0.256 0.375 0.709 O
0.361 0.544 0.512 O
0.367 0.531 0.002 O
0.384 0.196 0.259 O
0.500 0.125 0.887 O
0.500 0.131 0.622 O
0.500 0.827 0.751 O
0.500 0.895 0.280 O
0.616 0.196 0.259 O
0.633 0.531 0.002 O
0.639 0.544 0.512 O
0.744 0.375 0.709 O
0.756 0.625 0.209 O
0.861 0.456 0.012 O
0.867 0.469 0.502 O
0.884 0.804 0.759 O
```

Starting from a cell relaxed with GGA-PBE, the powder X-ray diffraction pattern of TbDy2Sn4Au4 was calculated for a wavelength of 1.5418 Å.
Kinematic intensities with the Lorentz-polarization factor, no thermal factor.

Main lines, by angle (2θ from 10° to 90°):
Position (°2θ)  d/Å  Rel. int.
11.41  7.757  17.0
31.34  2.854  22.7
31.98  2.799  100.0
32.70  2.739  69.0
34.69  2.586  31.1
36.03  2.493  40.4
39.46  2.284  48.9
41.12  2.195  33.2
43.14  2.097  26.7
53.54  1.712  23.3
58.30  1.583  22.8
66.87  1.399  17.1

Cell and atoms:
```
TbDy2Sn4Au4
1.0
-2.284 3.637 7.757
2.284 -3.637 7.757
2.284 3.637 -7.757
Tb Dy Sn Au
1 2 4 4
direct
0.000 0.000 0.000 Tb
0.371 0.871 0.500 Dy
0.628 0.128 0.500 Dy
0.214 0.214 0.000 Sn
0.303 0.500 0.803 Sn
0.697 0.500 0.197 Sn
0.785 0.785 0.000 Sn
0.035 0.331 0.704 Au
0.372 0.668 0.704 Au
0.627 0.331 0.296 Au
0.964 0.668 0.296 Au
```

Starting from a cell relaxed with GGA-PBE, the powder X-ray diffraction pattern of Zr4Ta2Zn3N3 was calculated for a wavelength of 1.5418 Å.
Kinematic intensities with the Lorentz-polarization factor, no thermal factor.

Main lines, by angle (2θ from 10° to 90°):
Position (°2θ)  d/Å  Rel. int.
12.92  6.852  9.5
18.48  4.802  8.7
18.86  4.706  6.0
32.07  2.791  22.6
32.75  2.735  6.8
37.77  2.382  100.0
39.45  2.284  17.3
51.72  1.768  14.3
57.17  1.611  19.8
70.41  1.337  8.3
70.54  1.335  13.0
71.67  1.317  12.3

Cell and atoms:
```
Zr4Ta2Zn3N3
1.0
4.833 -2.791 0.000
4.833 2.791 0.000
-3.199 0.000 13.704
Zr Ta Zn N
8 4 6 6
direct
0.037 0.194 0.097 Zr
0.130 0.301 0.402 Zr
0.194 0.037 0.597 Zr
0.301 0.130 0.902 Zr
0.699 0.870 0.098 Zr
0.806 0.963 0.403 Zr
0.870 0.699 0.598 Zr
0.963 0.806 0.903 Zr
0.354 0.526 0.078 Ta
0.474 0.646 0.422 Ta
0.526 0.354 0.578 Ta
0.646 0.474 0.922 Ta
0.138 0.862 0.250 Zn
0.306 0.417 0.751 Zn
0.417 0.306 0.251 Zn
0.583 0.694 0.749 Zn
0.694 0.583 0.249 Zn
0.862 0.138 0.750 Zn
0.000 0.500 0.000 N
0.167 0.666 0.500 N
0.334 0.833 0.000 N
0.500 0.000 0.500 N
0.666 0.167 0.000 N
0.833 0.334 0.500 N
```

Starting from a cell relaxed with GGA-PBE, the powder X-ray diffraction pattern of Cu3H4C6I3N2 was calculated for a wavelength of 1.5418 Å.
Kinematic intensities with the Lorentz-polarization factor, no thermal factor.

Main lines, by angle (2θ from 10° to 90°):
Position (°2θ)  d/Å  Rel. int.
11.06  8.001  34.7
15.82  5.603  33.8
23.23  3.830  98.7
23.48  3.788  49.3
23.82  3.735  40.5
25.54  3.487  36.2
26.71  3.337  100.0
26.88  3.317  41.2
28.14  3.171  38.8
28.84  3.096  41.9
36.18  2.483  49.4
44.39  2.041  33.8

Cell and atoms:
```
Cu3H4C6I3N2
1.0
4.145 0.000 0.000
-1.858 11.265 0.000
-1.134 -1.313 12.691
Cu H C I N
6 8 12 6 4
direct
0.150 0.315 0.068 Cu
0.250 0.403 0.445 Cu
0.318 0.736 0.646 Cu
0.682 0.264 0.354 Cu
0.750 0.597 0.555 Cu
0.850 0.685 0.932 Cu
0.020 0.018 0.234 H
0.204 0.089 0.942 H
0.343 0.914 0.362 H
0.419 0.705 0.307 H
0.581 0.295 0.693 H
0.657 0.086 0.638 H
0.796 0.911 0.058 H
0.980 0.982 0.766 H
0.062 0.927 0.214 C
0.064 0.132 0.885 C
0.146 0.699 0.155 C
0.179 0.579 0.124 C
0.240 0.870 0.284 C
0.283 0.754 0.255 C
0.717 0.246 0.745 C
0.760 0.130 0.716 C
0.821 0.421 0.876 C
0.854 0.301 0.845 C
0.936 0.868 0.115 C
0.938 0.073 0.786 C
0.166 0.173 0.447 I
0.239 0.499 0.644 I
0.384 0.796 0.852 I
0.616 0.204 0.148 I
0.761 0.501 0.356 I
0.834 0.827 0.553 I
0.025 0.244 0.916 N
0.206 0.480 0.105 N
0.794 0.520 0.895 N
0.975 0.756 0.084 N
```

Starting from a cell relaxed with GGA-PBE, the powder X-ray diffraction pattern of Li4ReO5 was calculated for a wavelength of 1.5418 Å.
Kinematic intensities with the Lorentz-polarization factor, no thermal factor.

Main lines, by angle (2θ from 10° to 90°):
Position (°2θ)  d/Å  Rel. int.
18.72  4.740  100.0
19.41  4.573  34.1
22.85  3.892  24.0
25.32  3.517  43.7
26.64  3.346  22.1
26.99  3.303  10.4
27.83  3.206  13.2
35.68  2.517  10.4
36.44  2.466  10.7
43.30  2.090  15.8
43.58  2.077  25.7
44.72  2.026  15.1

Cell and atoms:
```
Li4ReO5
1.0
5.036 0.000 0.000
-0.985 4.970 0.000
-1.563 -2.754 7.031
Li Re O
8 2 10
direct
0.000 0.000 0.000 Li
0.073 0.192 0.692 Li
0.199 0.394 0.396 Li
0.281 0.598 0.102 Li
0.500 0.000 0.500 Li
0.719 0.402 0.898 Li
0.801 0.606 0.604 Li
0.927 0.808 0.308 Li
0.390 0.782 0.782 Re
0.610 0.218 0.218 Re
0.070 0.607 0.845 O
0.162 0.808 0.564 O
0.274 0.013 0.250 O
0.371 0.171 0.957 O
0.448 0.422 0.663 O
0.552 0.578 0.337 O
0.629 0.829 0.043 O
0.726 0.987 0.750 O
0.838 0.192 0.436 O
0.930 0.393 0.155 O
```

Starting from a cell relaxed with GGA-PBE, the powder X-ray diffraction pattern of Na2Si2PdPt was calculated for a wavelength of 1.5418 Å.
Kinematic intensities with the Lorentz-polarization factor, no thermal factor.

Main lines, by angle (2θ from 10° to 90°):
Position (°2θ)  d/Å  Rel. int.
23.02  3.863  39.6
28.10  3.176  100.0
32.09  2.789  24.9
39.86  2.261  49.4
40.44  2.230  68.5
49.97  1.825  21.2
52.53  1.742  37.3
54.79  1.676  16.2
58.09  1.588  16.1
66.16  1.413  18.3
73.16  1.294  16.0
81.37  1.183  17.5

Cell and atoms:
```
Na2Si2PdPt
1.0
4.461 0.000 0.000
-2.230 3.863 0.000
0.000 0.000 5.579
Na Si Pd Pt
2 2 1 1
direct
0.000 0.000 0.250 Na
0.000 0.000 0.750 Na
0.333 0.667 0.000 Si
0.667 0.333 0.500 Si
0.333 0.667 0.500 Pd
0.667 0.333 0.000 Pt
```

Starting from a cell relaxed with GGA-PBE, the powder X-ray diffraction pattern of HoTm3Sn2B2 was calculated for a wavelength of 1.5418 Å.
Kinematic intensities with the Lorentz-polarization factor, no thermal factor.

Main lines, by angle (2θ from 10° to 90°):
Position (°2θ)  d/Å  Rel. int.
21.82  4.073  2.4
28.55  3.127  19.1
33.05  2.711  100.0
44.18  2.050  12.5
48.78  1.867  2.9
50.56  1.805  17.9
58.95  1.567  13.6
59.10  1.563  2.6
61.73  1.503  31.2
69.37  1.355  3.3
81.32  1.183  5.5
83.77  1.155  12.4

Cell and atoms:
```
HoTm3Sn2B2
1.0
3.610 0.000 0.000
-1.805 3.127 0.000
0.000 0.000 16.293
Ho Tm Sn B
1 3 2 2
direct
0.000 0.000 0.000 Ho
0.000 0.000 0.316 Tm
0.333 0.667 0.499 Tm
0.333 0.667 0.814 Tm
0.000 0.000 0.657 Sn
0.333 0.667 0.159 Sn
0.667 0.333 0.408 B
0.667 0.333 0.906 B
```

Starting from a cell relaxed with GGA-PBE, the powder X-ray diffraction pattern of Dy3Mg3IrPdPt was calculated for a wavelength of 1.5418 Å.
Kinematic intensities with the Lorentz-polarization factor, no thermal factor.

Main lines, by angle (2θ from 10° to 90°):
Position (°2θ)  d/Å  Rel. int.
13.81  6.414  33.8
24.03  3.703  46.0
32.93  2.720  99.8
35.86  2.504  100.0
37.08  2.424  23.0
42.27  2.138  36.3
43.63  2.074  29.4
45.25  2.004  23.5
51.36  1.779  19.1
56.61  1.626  19.3
63.64  1.462  21.7
67.85  1.381  24.0

Cell and atoms:
```
Dy3Mg3IrPdPt
1.0
7.406 0.000 0.000
-3.703 6.414 0.000
0.000 0.000 4.008
Dy Mg Ir Pd Pt
3 3 1 1 1
direct
0.009 0.590 0.000 Dy
0.410 0.420 0.000 Dy
0.580 0.991 0.000 Dy
0.000 0.247 0.500 Mg
0.247 0.000 0.500 Mg
0.753 0.753 0.500 Mg
0.333 0.667 0.500 Ir
0.000 0.000 0.000 Pd
0.667 0.333 0.500 Pt
```

Starting from a cell relaxed with GGA-PBE, the powder X-ray diffraction pattern of AcGa5Ir2 was calculated for a wavelength of 1.5418 Å.
Kinematic intensities with the Lorentz-polarization factor, no thermal factor.

Main lines, by angle (2θ from 10° to 90°):
Position (°2θ)  d/Å  Rel. int.
24.44  3.642  37.1
28.92  3.087  31.5
30.27  2.953  100.0
33.84  2.649  68.4
33.98  2.638  35.7
43.12  2.098  19.9
43.24  2.092  54.1
43.40  2.085  50.9
46.81  1.941  50.0
56.10  1.639  20.2
60.00  1.542  21.1
62.95  1.476  35.6

Cell and atoms:
```
AcGa5Ir2
1.0
4.168 0.000 0.000
0.000 7.283 0.000
0.000 0.000 10.225
Ac Ga Ir
2 10 4
direct
0.000 0.000 0.000 Ac
0.500 0.500 0.500 Ac
0.000 0.193 0.345 Ga
0.000 0.193 0.655 Ga
0.000 0.500 0.000 Ga
0.000 0.807 0.345 Ga
0.000 0.807 0.655 Ga
0.500 0.000 0.500 Ga
0.500 0.307 0.155 Ga
0.500 0.307 0.845 Ga
0.500 0.693 0.155 Ga
0.500 0.693 0.845 Ga
0.000 0.500 0.234 Ir
0.000 0.500 0.766 Ir
0.500 0.000 0.266 Ir
0.500 0.000 0.734 Ir
```